Entry 1:
Simulated XRD peak list
Compound: Ce5NdIn6
Radiation: Cu Kα, 1.54184 Å
Structure: a cell relaxed with GGA-PBE
Kinematic intensities with the Lorentz-polarization factor, no thermal factor.

Cell and atoms:
a = 16.709 Å, b = 6.796 Å, c = 5.838 Å
α = 90.00°, β = 92.26°, γ = 90.00°
Space group C2/m (No. 12)
Asymmetric unit:
Ce  0.000  0.000  0.000 [2 per cell]
Ce  0.167  0.000  0.656 [4 per cell]
Ce  0.171  0.500  0.648 [4 per cell]
Nd  0.000  0.500  0.000 [2 per cell]
In  0.000  0.252  0.500 [4 per cell]
In  0.168  0.251  0.154 [8 per cell]

Largest 10 diffraction maxima, low angle first, 15° ≤ 2θ ≤ 90°:
two_theta  I_rel
32.1  100
32.5  98
37.1  68
38.3  31
52.9  12
54.0  11
54.4  44
63.5  26
64.2  26
65.7  12

Entry 2:
Simulated XRD peak list
Compound: CeNd4In5
Radiation: Cu Kα, 1.54184 Å
Structure: a cell relaxed with GGA-PBE
Kinematic intensities with the Lorentz-polarization factor, no thermal factor.

Cell and atoms:
a = 3.866 Å, b = 3.866 Å, c = 19.490 Å
α = 90.00°, β = 90.00°, γ = 90.00°
Space group P4/mmm (No. 123)
Asymmetric unit:
Ce  0.000  0.000  0.000 [1 per cell]
Nd  0.000  0.000  0.200 [2 per cell]
Nd  0.000  0.000  0.400 [2 per cell]
In  0.500  0.500  0.101 [2 per cell]
In  0.500  0.500  0.300 [2 per cell]
In  0.500  0.500  0.500 [1 per cell]

Largest 10 diffraction maxima, low angle first, 15° ≤ 2θ ≤ 90°:
two_theta  I_rel
32.6  100
32.8  49
46.6  9
47.0  18
58.1  19
58.4  37
68.4  11
77.5  8
78.2  16
87.1  6

> Which formula does entry 2 have?

CeNd4In5

> Which formula does entry 1 have?

Ce5NdIn6